This entry pairs a crystal structure of La2Ga10Cu with its theoretical powder diffractogram. Radiation: a wavelength of 1.5418 Å. Structure: DFT lattice parameters and positions (PBE).
Kinematic intensities with the Lorentz-polarization factor, no thermal factor.

Peak list (8 most intense, 2θ = 15–90°, by intensity)
(1 0 -5), 2θ 34.46, I = 100.0
(2 1 0), 2θ 34.15, I = 52.1
(1 2 -2), 2θ 35.01, I = 37.5
(-1 2 2), 2θ 35.23, I = 36.1
(1 2 4), 2θ 40.70, I = 25.9
(1 -2 4), 2θ 40.99, I = 24.1
(2 0 4), 2θ 39.20, I = 24.0
(0 0 6), 2θ 36.54, I = 21.8

Cell and atoms:
Unit cell a=5.7665 b=6.2157 c=14.7578 alpha=89.89 beta=88.62 gamma=89.45
Space group P-1 (No. 2)
Asymmetric unit:
La 0.1165 0.1551 0.1429 x2
La 0.3764 0.6521 0.3562 x2
Ga 0.1028 0.5425 0.7016 x2
Ga 0.1158 0.1025 0.6692 x2
Ga 0.1600 0.2895 0.9309 x2
Ga 0.1674 0.3683 0.5218 x2
Ga 0.2298 0.1602 0.3546 x2
Ga 0.2646 0.6631 0.1440 x2
Ga 0.3366 0.8725 0.9772 x2
Ga 0.3462 0.7876 0.5671 x2
Ga 0.3923 0.6036 0.8304 x2
Ga 0.4056 0.0422 0.7974 x2
Cu 0.0000 0.0000 0.5000 x1
Cu 0.5000 0.5000 0.0000 x1

=====

This entry pairs a crystal structure of BaIn2HgRh with its theoretical powder diffractogram. Radiation: a wavelength of 1.5418 Å. Structure: DFT lattice parameters and positions (PBE).
Kinematic intensities with the Lorentz-polarization factor, no thermal factor.

Peak list (8 most intense, 2θ = 15–90°, by intensity)
(1 1 1), 2θ 28.48, I = 100.0
(2 0 0), 2θ 34.44, I = 65.0
(2 0 2), 2θ 46.27, I = 56.4
(0 0 2), 2θ 29.94, I = 47.1
(2 2 2), 2θ 58.93, I = 27.2
(3 1 1), 2θ 58.10, I = 26.8
(1 0 1), 2θ 22.66, I = 25.0
(2 2 0), 2θ 49.50, I = 23.1

Cell and atoms:
Unit cell a=5.2086 b=5.2086 c=5.9682 alpha=90.00 beta=90.00 gamma=90.00
Space group P4/mmm (No. 123)
Asymmetric unit:
Ba 0.0000 0.0000 0.0000 x1
In 0.0000 0.5000 0.5000 x2
Hg 0.5000 0.5000 0.0000 x1
Rh 0.0000 0.0000 0.5000 x1

=====

This entry pairs a crystal structure of CsRbZnGeTeH with its theoretical powder diffractogram. Radiation: a wavelength of 1.5418 Å. Structure: DFT lattice parameters and positions (PBE).
Kinematic intensities with the Lorentz-polarization factor, no thermal factor.

Peak list (8 most intense, 2θ = 15–90°, by intensity)
(1 1 1), 2θ 27.90, I = 100.0
(0 1 2), 2θ 26.57, I = 51.1
(1 0 3), 2θ 36.37, I = 30.8
(0 2 0), 2θ 34.60, I = 26.0
(0 1 1), 2θ 19.87, I = 24.2
(1 2 3), 2θ 51.07, I = 22.9
(2 1 2), 2θ 48.11, I = 19.7
(2 0 0), 2θ 39.35, I = 18.2

Cell and atoms:
Unit cell a=4.5796 b=5.1851 c=8.7992 alpha=90.00 beta=90.00 gamma=90.00
Space group Pmm2 (No. 25)
Asymmetric unit:
Cs 0.0000 0.0000 0.0000 x1
Rb 0.5000 0.0000 0.5501 x1
Zn 0.0000 0.5000 0.3687 x1
Ge 0.5000 0.5000 0.2527 x1
Te 0.0000 0.5000 0.6662 x1
H 0.5000 0.5000 0.0695 x1

=====

This entry pairs a crystal structure of Y2Ho2Rh3 with its theoretical powder diffractogram. Radiation: a wavelength of 1.5418 Å. Structure: DFT lattice parameters and positions (PBE).
Kinematic intensities with the Lorentz-polarization factor, no thermal factor.

Peak list (8 most intense, 2θ = 15–90°, by intensity)
(1 1 3), 2θ 37.18, I = 100.0
(2 0 1), 2θ 37.69, I = 25.4
(1 1 -1), 2θ 37.01, I = 25.3
(2 0 5), 2θ 67.06, I = 17.4
(0 1 1), 2θ 19.44, I = 15.6
(2 -2 0), 2θ 54.07, I = 9.8
(2 2 2), 2θ 53.85, I = 8.9
(0 0 4), 2θ 53.10, I = 8.8

Cell and atoms:
Unit cell a=4.7733 b=4.8382 c=7.6791 alpha=71.68 beta=72.06 gamma=89.78
Space group P-1 (No. 2)
Asymmetric unit:
Y 0.1281 0.1268 0.2484 x2
Ho 0.3713 0.3725 0.7532 x2
Rh 0.0000 0.5000 0.5000 x1
Rh 0.2512 0.7516 0.9974 x2

=====

This entry pairs a crystal structure of MgH6Ir3 with its theoretical powder diffractogram. Radiation: a wavelength of 1.5418 Å. Structure: DFT lattice parameters and positions (PBE).
Kinematic intensities with the Lorentz-polarization factor, no thermal factor.

Peak list (8 most intense, 2θ = 15–90°, by intensity)
(2 0 -1), 2θ 39.16, I = 100.0
(1 1 -2), 2θ 42.59, I = 81.4
(1 1 1), 2θ 41.76, I = 79.6
(0 1 1), 2θ 33.64, I = 53.4
(1 1 -1), 2θ 37.23, I = 38.4
(1 0 -3), 2θ 40.67, I = 33.4
(1 1 0), 2θ 36.92, I = 30.0
(2 2 -1), 2θ 77.34, I = 28.1

Cell and atoms:
Unit cell a=4.6099 b=2.9237 c=6.7868 alpha=90.00 beta=107.50 gamma=90.00
Space group Pm (No. 6)
Asymmetric unit:
Mg 0.0000 0.0000 0.0000 x1
H 0.2376 0.5000 0.8221 x1
H 0.4017 0.5000 0.1834 x1
H 0.4283 0.0000 0.3510 x1
H 0.5375 0.0000 0.9843 x1
H 0.8760 0.0000 0.4864 x1
H 0.8802 0.5000 0.2016 x1
Ir 0.2300 0.5000 0.3592 x1
Ir 0.4112 0.0000 0.7368 x1
Ir 0.8459 0.5000 0.6293 x1

=====

This entry pairs a crystal structure of BH5Rh5 with its theoretical powder diffractogram. Radiation: a wavelength of 1.5418 Å. Structure: DFT lattice parameters and positions (PBE).
Kinematic intensities with the Lorentz-polarization factor, no thermal factor.

Peak list (8 most intense, 2θ = 15–90°, by intensity)
(1 0 -2), 2θ 38.37, I = 100.0
(1 1 0), 2θ 38.18, I = 50.6
(1 -1 2), 2θ 38.76, I = 50.6
(2 -1 0), 2θ 43.37, I = 42.1
(0 2 -2), 2θ 44.59, I = 34.9
(0 1 2), 2θ 45.99, I = 30.4
(0 1 1), 2θ 31.00, I = 18.0
(1 -1 0), 2θ 23.73, I = 16.2

Cell and atoms:
Unit cell a=4.1731 b=4.9816 c=5.6328 alpha=107.67 beta=90.57 gamma=114.35
Space group P-1 (No. 2)
Asymmetric unit:
B 0.0000 0.0000 0.0000 x1
H 0.0000 0.0000 0.5000 x1
H 0.3173 0.6748 0.6877 x2
H 0.3805 0.6883 0.1987 x2
Rh 0.1578 0.3047 0.8017 x2
Rh 0.1856 0.3740 0.3317 x2
Rh 0.5000 0.0000 0.0000 x1

=====

This entry pairs a crystal structure of PaInSnBi with its theoretical powder diffractogram. Radiation: a wavelength of 1.5418 Å. Structure: DFT lattice parameters and positions (PBE).
Kinematic intensities with the Lorentz-polarization factor, no thermal factor.

Peak list (8 most intense, 2θ = 15–90°, by intensity)
(1 1 1), 2θ 32.94, I = 100.0
(0 2 0), 2θ 40.45, I = 28.8
(1 3 1), 2θ 68.82, I = 24.7
(4 0 0), 2θ 33.40, I = 24.1
(4 2 0), 2θ 53.40, I = 19.5
(5 1 1), 2θ 59.40, I = 19.0
(2 0 0), 2θ 16.52, I = 10.4
(2 2 -2), 2θ 58.53, I = 9.9

Cell and atoms:
Unit cell a=11.6133 b=4.4611 c=4.4597 alpha=90.00 beta=112.46 gamma=90.00
Space group Cm (No. 8)
Asymmetric unit:
Pa 0.0000 0.0000 0.0000 x2
In 0.2500 0.5000 0.2500 x2
Sn 0.2499 0.0000 0.7507 x2
Bi 0.0000 0.5000 0.4999 x2

=====

This entry pairs a crystal structure of Sm4TlCo with its theoretical powder diffractogram. Radiation: a wavelength of 1.5418 Å. Structure: DFT lattice parameters and positions (PBE).
Kinematic intensities with the Lorentz-polarization factor, no thermal factor.

Peak list (8 most intense, 2θ = 15–90°, by intensity)
(1 0 2), 2θ 29.08, I = 100.0
(3 1 1), 2θ 41.50, I = 81.4
(2 1 -1), 2θ 29.31, I = 77.8
(2 1 0), 2θ 27.06, I = 74.8
(0 2 1), 2θ 27.97, I = 71.9
(1 1 -3), 2θ 42.00, I = 64.7
(1 1 -2), 2θ 30.34, I = 51.9
(1 2 1), 2θ 30.85, I = 49.1

Cell and atoms:
Unit cell a=7.4328 b=7.1801 c=6.9676 alpha=90.00 beta=93.78 gamma=90.00
Space group P2_1/c (No. 14)
Asymmetric unit:
Sm 0.1359 0.1654 0.1850 x4
Sm 0.3097 0.6353 0.1024 x4
Tl 0.5000 0.0000 0.0000 x2
Co 0.0000 0.0000 0.5000 x2

=====

This entry pairs a crystal structure of MnNi3 with its theoretical powder diffractogram. Radiation: a wavelength of 1.5418 Å. Structure: DFT lattice parameters and positions (PBE).
Kinematic intensities with the Lorentz-polarization factor, no thermal factor.

Peak list (8 most intense, 2θ = 15–90°, by intensity)
(1 2 2), 2θ 46.89, I = 100.0
(0 4 0), 2θ 44.09, I = 53.6
(2 2 0), 2θ 46.54, I = 51.8
(1 1 2), 2θ 42.59, I = 40.0
(2 1 0), 2θ 42.21, I = 21.2
(1 3 2), 2θ 53.46, I = 19.4
(3 0 2), 2θ 74.32, I = 19.2
(1 6 2), 2θ 83.11, I = 16.5

Cell and atoms:
Unit cell a=4.4348 b=8.2161 c=5.0594 alpha=90.00 beta=90.00 gamma=90.00
Space group Pnma (No. 62)
Asymmetric unit:
Mn 0.0811 0.2500 0.1063 x4
Ni 0.0851 0.2500 0.6145 x4
Ni 0.2398 0.5005 0.3660 x8

=====

This entry pairs a crystal structure of LiErSi2Pt4 with its theoretical powder diffractogram. Radiation: a wavelength of 1.5418 Å. Structure: DFT lattice parameters and positions (PBE).
Kinematic intensities with the Lorentz-polarization factor, no thermal factor.

Peak list (8 most intense, 2θ = 15–90°, by intensity)
(1 1 0), 2θ 43.59, I = 100.0
(1 0 7), 2θ 35.12, I = 77.7
(1 0 4), 2θ 28.52, I = 53.9
(0 1 8), 2θ 37.79, I = 50.2
(1 1 15), 2θ 71.93, I = 37.7
(0 1 5), 2θ 30.45, I = 36.7
(0 1 11), 2θ 46.73, I = 29.6
(3 0 0), 2θ 80.06, I = 21.1

Cell and atoms:
Unit cell a=4.1525 b=4.1525 c=25.4127 alpha=90.00 beta=90.00 gamma=120.00
Space group R-3m (No. 166, hexagonal axes)
Asymmetric unit:
Li 0.0000 0.0000 0.0000 x3
Er 0.0000 0.0000 0.5000 x3
Si 0.0000 0.0000 0.2607 x6
Pt 0.0000 0.0000 0.0960 x6
Pt 0.0000 0.0000 0.3651 x6

=====

This entry pairs a crystal structure of LaGaSiNi6 with its theoretical powder diffractogram. Radiation: a wavelength of 1.5418 Å. Structure: DFT lattice parameters and positions (PBE).
Kinematic intensities with the Lorentz-polarization factor, no thermal factor.

Peak list (8 most intense, 2θ = 15–90°, by intensity)
(1 2 3), 2θ 35.66, I = 100.0
(2 2 0), 2θ 42.24, I = 91.2
(1 2 1), 2θ 29.96, I = 67.3
(1 2 5), 2θ 45.19, I = 65.8
(2 0 2), 2θ 37.25, I = 64.7
(0 4 0), 2θ 47.97, I = 64.4
(2 0 4), 2θ 44.34, I = 58.0
(0 2 4), 2θ 35.94, I = 57.5

Cell and atoms:
Unit cell a=5.1816 b=7.5864 c=13.2844 alpha=90.00 beta=90.00 gamma=90.00
Space group Imma (No. 74)
Asymmetric unit:
La 0.0000 0.2500 0.0003 x4
Ga 0.0000 0.0000 0.5000 x4
Si 0.2500 0.2500 0.2500 x4
Ni 0.0000 0.2500 0.3890 x4
Ni 0.0000 0.2500 0.7534 x4
Ni 0.2468 0.0181 0.8413 x16

=====

This entry pairs a crystal structure of K4Tl4Pt with its theoretical powder diffractogram. Radiation: a wavelength of 1.5418 Å. Structure: DFT lattice parameters and positions (PBE).
Kinematic intensities with the Lorentz-polarization factor, no thermal factor.

Peak list (8 most intense, 2θ = 15–90°, by intensity)
(1 1 4), 2θ 29.26, I = 100.0
(1 1 2), 2θ 22.24, I = 46.8
(3 1 4), 2θ 49.78, I = 35.1
(2 0 0), 2θ 27.54, I = 34.6
(2 2 0), 2θ 39.34, I = 28.3
(2 1 1), 2θ 31.36, I = 23.3
(2 0 8), 2θ 52.92, I = 22.3
(2 1 3), 2θ 35.07, I = 21.2

Cell and atoms:
Unit cell a=6.4772 b=6.4772 c=16.3748 alpha=90.00 beta=90.00 gamma=90.00
Space group I-42m (No. 121)
Asymmetric unit:
K 0.2283 0.2283 0.1632 x8
Tl 0.2197 0.2197 0.4367 x8
Pt 0.0000 0.0000 0.0000 x2

=====

This entry pairs a crystal structure of NaPuBO5 with its theoretical powder diffractogram. Radiation: a wavelength of 1.5418 Å. Structure: DFT lattice parameters and positions (PBE).
Kinematic intensities with the Lorentz-polarization factor, no thermal factor.

Peak list (8 most intense, 2θ = 15–90°, by intensity)
(1 1 0), 2θ 17.93, I = 100.0
(1 1 -2), 2θ 25.63, I = 61.0
(2 0 0), 2θ 29.51, I = 33.6
(0 2 0), 2θ 20.71, I = 32.4
(2 2 0), 2θ 36.33, I = 29.4
(0 2 2), 2θ 33.28, I = 27.9
(1 3 0), 2θ 34.69, I = 24.3
(2 4 -2), 2θ 52.28, I = 21.7

Cell and atoms:
Unit cell a=6.7317 b=8.5776 c=7.6878 alpha=90.00 beta=115.88 gamma=90.00
Space group C2/c (No. 15)
Asymmetric unit:
Na 0.0000 0.1533 0.2500 x4
Pu 0.0000 0.5000 0.0000 x4
B 0.0000 0.1862 0.7500 x4
O 0.0000 0.4122 0.2500 x4
O 0.0913 0.2858 0.6416 x8
O 0.1756 0.0810 0.8866 x8